[1]
For Ca2Sb3PdPt4, the GGA-PBE geometry in Alexandria gives the computed powder XRD pattern in this record (λ = 1.5418 Å (Cu Kα)).
Neutral-atom scattering factors, no anomalous dispersion.

Atomic structure:
Lattice parameters (Å, degrees): 4.291 4.291 11.770 90.00 90.00 90.00
Space group P-4m2 (No. 115)
Unique sites:
Ca1 0.000 0.500 0.232 x2
Sb1 0.000 0.000 0.000 x1
Sb2 0.000 0.500 0.635 x2
Pd1 0.500 0.500 0.000 x1
Pt1 0.000 0.000 0.500 x1
Pt2 0.000 0.500 0.851 x2
Pt3 0.500 0.500 0.500 x1

Most intense lines, 2θ from 10° to 90°, by angle:
d [Å]	Position (°2θ)	I/Imax
5.885	15.05	35
4.031	22.05	65
2.697	33.22	100
2.145	42.12	65
2.112	42.81	84
1.232	77.46	30

***

[2]
For Ca2SnPd5Pt2, the GGA-PBE geometry in Alexandria gives the computed powder XRD pattern in this record (λ = 1.5418 Å (Cu Kα)).
Neutral-atom scattering factors, no anomalous dispersion.

Atomic structure:
Lattice parameters (Å, degrees): 9.613 9.613 4.076 90.00 90.00 90.00
Space group P4/mbm (No. 127)
Unique sites:
Ca1 0.169 0.331 0.000 x4
Sn1 0.000 0.000 0.000 x2
Pd1 0.000 0.500 0.500 x2
Pd2 0.067 0.802 0.500 x8
Pt1 0.128 0.628 0.000 x4

Most intense lines, 2θ from 10° to 90°, by angle:
d [Å]	Position (°2θ)	I/Imax
4.299	20.66	55
2.437	36.88	100
2.332	38.62	13
2.231	40.42	46
2.070	43.72	16
2.038	44.45	25

***

[3]
For CaPu3Pd4, the GGA-PBE geometry in Alexandria gives the computed powder XRD pattern in this record (λ = 1.5418 Å (Cu Kα)).
Neutral-atom scattering factors, no anomalous dispersion.

Atomic structure:
Lattice parameters (Å, degrees): 3.318 5.119 10.269 90.00 90.00 90.00
Space group Pmmm (No. 47)
Unique sites:
Ca1 0.000 0.000 0.000 x1
Pu1 0.000 0.000 0.500 x1
Pu2 0.000 0.500 0.250 x2
Pd1 0.500 0.000 0.252 x2
Pd2 0.500 0.500 0.000 x1
Pd3 0.500 0.500 0.500 x1

Most intense lines, 2θ from 10° to 90°, by angle:
d [Å]	Position (°2θ)	I/Imax
2.567	34.95	29
2.559	35.06	28
2.447	36.72	100
1.812	50.34	20
1.458	63.84	20
1.455	63.99	20